Entry 1:
This entry pairs a crystal structure of CePr14Nd with its calculated powder diffractogram. Radiation: a wavelength of 1.5418 Å. Structure: a crystal structure in Alexandria, relaxed with GGA-PBE.
Peak positions follow from Bragg's law for the DFT cell and can differ from measured ones.

Crystal structure
a = 10.499 Å, b = 7.396 Å, c = 7.396 Å
α = 89.96°, β = 90.00°, γ = 90.00°
Atoms (fractional coordinates):
Ce 0.000 0.000 0.000
Pr 0.000 0.501 0.999
Pr 0.000 0.999 0.501
Pr 0.247 0.248 0.248
Pr 0.248 0.248 0.752
Pr 0.248 0.752 0.248
Pr 0.248 0.752 0.752
Pr 0.500 0.000 0.499
Pr 0.500 0.499 0.000
Pr 0.500 0.500 0.500
Pr 0.500 0.999 0.999
Pr 0.752 0.248 0.752
Pr 0.752 0.752 0.248
Pr 0.752 0.752 0.752
Pr 0.753 0.248 0.248
Nd 0.000 0.499 0.499

Principal peaks in the range 2θ = 10–90°, sorted by position:
| d_spacing | two_theta | Rel. int. |
| --- | --- | --- |
| 3.023 | 29.55 | 100 |
| 2.625 | 34.16 | 17 |
| 2.615 | 34.29 | 34 |
| 1.852 | 49.18 | 24 |
| 1.582 | 58.34 | 15 |
| 1.577 | 58.52 | 29 |

***

Entry 2:
This entry pairs a crystal structure of KMnCu2Te4 with its calculated powder diffractogram. Radiation: a wavelength of 1.5418 Å. Structure: a crystal structure in Alexandria, relaxed with GGA-PBE.
Peak positions follow from Bragg's law for the DFT cell and can differ from measured ones.

Crystal structure
a = 5.855 Å, b = 8.924 Å, c = 9.439 Å
α = 90.00°, β = 90.00°, γ = 90.00°
Atoms (fractional coordinates):
K 0.000 0.000 0.000
K 0.500 0.500 0.500
Mn 0.000 0.500 0.000
Mn 0.500 0.000 0.500
Cu 0.000 0.136 0.500
Cu 0.000 0.864 0.500
Cu 0.500 0.364 0.000
Cu 0.500 0.636 0.000
Te 0.215 0.353 0.805
Te 0.215 0.647 0.195
Te 0.285 0.147 0.305
Te 0.285 0.853 0.695
Te 0.715 0.147 0.695
Te 0.715 0.853 0.305
Te 0.785 0.353 0.195
Te 0.785 0.647 0.805

Principal peaks in the range 2θ = 10–90°, sorted by position:
| d_spacing | two_theta | Rel. int. |
| --- | --- | --- |
| 6.485 | 13.65 | 52 |
| 3.398 | 26.23 | 40 |
| 3.322 | 26.84 | 100 |
| 2.488 | 36.11 | 38 |
| 2.126 | 42.53 | 21 |
| 1.739 | 52.64 | 24 |

***

Entry 3:
This entry pairs a crystal structure of Nd6C3Cl2 with its calculated powder diffractogram. Radiation: a wavelength of 1.5418 Å. Structure: a crystal structure in Alexandria, relaxed with GGA-PBE.
Peak positions follow from Bragg's law for the DFT cell and can differ from measured ones.

Crystal structure
a = 6.581 Å, b = 6.581 Å, c = 7.238 Å
α = 98.75°, β = 98.75°, γ = 119.98°
Atoms (fractional coordinates):
Nd 0.100 0.432 0.800
Nd 0.233 0.233 0.200
Nd 0.432 0.100 0.800
Nd 0.568 0.900 0.200
Nd 0.767 0.767 0.800
Nd 0.900 0.568 0.200
C 0.169 0.831 0.000
C 0.500 0.500 0.000
C 0.831 0.169 0.000
Cl 0.333 0.667 0.500
Cl 0.667 0.333 0.500

Principal peaks in the range 2θ = 10–90°, sorted by position:
| d_spacing | two_theta | Rel. int. |
| --- | --- | --- |
| 3.448 | 25.84 | 26 |
| 3.136 | 28.46 | 94 |
| 2.776 | 32.24 | 100 |
| 2.575 | 34.83 | 22 |
| 2.033 | 44.56 | 23 |
| 1.900 | 47.88 | 38 |

***

Entry 4:
This entry pairs a crystal structure of Tb7YHo5 with its calculated powder diffractogram. Radiation: a wavelength of 1.5418 Å. Structure: a crystal structure in Alexandria, relaxed with GGA-PBE.
Peak positions follow from Bragg's law for the DFT cell and can differ from measured ones.

Crystal structure
a = 8.681 Å, b = 8.681 Å, c = 8.681 Å
α = 134.88°, β = 100.07°, γ = 96.86°
Atoms (fractional coordinates):
Tb 0.000 0.000 0.000
Tb 0.076 0.745 0.331
Tb 0.305 0.305 0.000
Tb 0.415 0.745 0.669
Tb 0.570 0.244 0.326
Tb 0.918 0.244 0.674
Tb 0.990 0.490 0.500
Y 0.690 0.690 0.000
Ho 0.267 0.263 0.538
Ho 0.267 0.729 0.004
Ho 0.496 0.996 0.500
Ho 0.725 0.263 0.996
Ho 0.725 0.729 0.462

Principal peaks in the range 2θ = 10–90°, sorted by position:
| d_spacing | two_theta | Rel. int. |
| --- | --- | --- |
| 2.881 | 31.04 | 100 |
| 2.858 | 31.29 | 54 |
| 2.828 | 31.64 | 75 |
| 2.561 | 35.04 | 96 |
| 2.509 | 35.78 | 33 |
| 1.594 | 57.85 | 34 |

***

Entry 5:
This entry pairs a crystal structure of AcZr2N4 with its calculated powder diffractogram. Radiation: a wavelength of 1.5418 Å. Structure: a crystal structure in Alexandria, relaxed with GGA-PBE.
Peak positions follow from Bragg's law for the DFT cell and can differ from measured ones.

Crystal structure
a = 6.839 Å, b = 6.836 Å, c = 6.829 Å
α = 60.06°, β = 60.02°, γ = 59.91°
Atoms (fractional coordinates):
Ac 0.125 0.125 0.125
Ac 0.875 0.875 0.875
Zr 0.000 0.500 0.500
Zr 0.500 0.000 0.500
Zr 0.500 0.500 0.000
Zr 0.500 0.500 0.500
N 0.269 0.691 0.270
N 0.270 0.270 0.269
N 0.270 0.270 0.691
N 0.309 0.731 0.730
N 0.691 0.269 0.270
N 0.730 0.730 0.309
N 0.730 0.730 0.731
N 0.731 0.309 0.730

Principal peaks in the range 2θ = 10–90°, sorted by position:
| d_spacing | two_theta | Rel. int. |
| --- | --- | --- |
| 3.417 | 26.08 | 62 |
| 2.914 | 30.68 | 100 |
| 1.973 | 46.00 | 26 |
| 1.861 | 48.95 | 30 |
| 1.709 | 53.64 | 34 |
| 1.474 | 63.07 | 13 |

***

Entry 6:
This entry pairs a crystal structure of Cu3OsCl2F6 with its calculated powder diffractogram. Radiation: a wavelength of 1.5418 Å. Structure: a crystal structure in Alexandria, relaxed with GGA-PBE.
Peak positions follow from Bragg's law for the DFT cell and can differ from measured ones.

Crystal structure
a = 7.299 Å, b = 7.299 Å, c = 4.760 Å
α = 96.60°, β = 96.60°, γ = 50.39°
Atoms (fractional coordinates):
Cu 0.000 0.000 0.000
Cu 0.000 0.500 0.500
Cu 0.500 0.000 0.500
Os 0.500 0.500 0.500
Cl 0.177 0.177 0.219
Cl 0.823 0.823 0.781
F 0.213 0.669 0.250
F 0.331 0.787 0.750
F 0.375 0.375 0.680
F 0.625 0.625 0.320
F 0.669 0.213 0.250
F 0.787 0.331 0.750

Principal peaks in the range 2θ = 10–90°, sorted by position:
| d_spacing | two_theta | Rel. int. |
| --- | --- | --- |
| 4.721 | 18.80 | 58 |
| 3.714 | 23.96 | 100 |
| 3.520 | 25.30 | 46 |
| 3.276 | 27.22 | 42 |
| 2.808 | 31.88 | 41 |
| 2.358 | 38.17 | 56 |

***

Entry 7:
This entry pairs a crystal structure of Mg2BF with its calculated powder diffractogram. Radiation: a wavelength of 1.5418 Å. Structure: a crystal structure in Alexandria, relaxed with GGA-PBE.
Peak positions follow from Bragg's law for the DFT cell and can differ from measured ones.

Crystal structure
a = 3.603 Å, b = 5.678 Å, c = 5.977 Å
α = 94.66°, β = 93.60°, γ = 107.28°
Atoms (fractional coordinates):
Mg 0.000 0.000 0.000
Mg 0.087 0.309 0.584
Mg 0.715 0.466 0.962
Mg 0.855 0.776 0.546
B 0.365 0.746 0.803
B 0.496 0.047 0.768
F 0.814 0.498 0.309
F 0.974 0.029 0.324

Principal peaks in the range 2θ = 10–90°, sorted by position:
| d_spacing | two_theta | Rel. int. |
| --- | --- | --- |
| 3.425 | 26.01 | 100 |
| 3.396 | 26.24 | 38 |
| 3.091 | 28.88 | 36 |
| 2.558 | 35.08 | 64 |
| 2.350 | 38.30 | 55 |
| 1.797 | 50.80 | 53 |

***

Entry 8:
This entry pairs a crystal structure of SmPd7Au12 with its calculated powder diffractogram. Radiation: a wavelength of 1.5418 Å. Structure: a crystal structure in Alexandria, relaxed with GGA-PBE.
Peak positions follow from Bragg's law for the DFT cell and can differ from measured ones.

Crystal structure
a = 8.457 Å, b = 8.457 Å, c = 8.457 Å
α = 109.47°, β = 109.47°, γ = 109.47°
Atoms (fractional coordinates):
Sm 0.000 0.000 0.000
Pd 0.000 0.000 0.500
Pd 0.000 0.500 0.000
Pd 0.000 0.500 0.500
Pd 0.500 0.000 0.000
Pd 0.500 0.000 0.500
Pd 0.500 0.500 0.000
Pd 0.500 0.500 0.500
Au 0.121 0.851 0.271
Au 0.149 0.271 0.420
Au 0.149 0.729 0.879
Au 0.271 0.121 0.851
Au 0.271 0.420 0.149
Au 0.420 0.149 0.271
Au 0.580 0.851 0.729
Au 0.729 0.580 0.851
Au 0.729 0.879 0.149
Au 0.851 0.271 0.121
Au 0.851 0.729 0.580
Au 0.879 0.149 0.729

Principal peaks in the range 2θ = 10–90°, sorted by position:
| d_spacing | two_theta | Rel. int. |
| --- | --- | --- |
| 3.088 | 28.91 | 83 |
| 2.610 | 34.36 | 98 |
| 2.441 | 36.82 | 55 |
| 2.184 | 41.35 | 100 |
| 1.993 | 45.50 | 97 |
| 1.305 | 72.42 | 54 |

***

Entry 9:
This entry pairs a crystal structure of La6PIr2I2 with its calculated powder diffractogram. Radiation: a wavelength of 1.5418 Å. Structure: a crystal structure in Alexandria, relaxed with GGA-PBE.
Peak positions follow from Bragg's law for the DFT cell and can differ from measured ones.

Crystal structure
a = 7.413 Å, b = 7.413 Å, c = 8.332 Å
α = 98.30°, β = 98.30°, γ = 119.07°
Atoms (fractional coordinates):
La 0.098 0.437 0.808
La 0.215 0.215 0.189
La 0.437 0.098 0.808
La 0.563 0.902 0.192
La 0.785 0.785 0.811
La 0.902 0.563 0.192
P 0.500 0.500 0.000
Ir 0.169 0.831 0.000
Ir 0.831 0.169 0.000
I 0.336 0.664 0.500
I 0.664 0.336 0.500

Principal peaks in the range 2θ = 10–90°, sorted by position:
| d_spacing | two_theta | Rel. int. |
| --- | --- | --- |
| 7.988 | 11.08 | 31 |
| 3.162 | 28.22 | 100 |
| 2.320 | 38.81 | 19 |
| 2.160 | 41.83 | 26 |
| 2.130 | 42.44 | 13 |
| 1.766 | 51.76 | 13 |

***

Entry 10:
This entry pairs a crystal structure of Cu4Hg3 with its calculated powder diffractogram. Radiation: a wavelength of 1.5418 Å. Structure: a crystal structure in Alexandria, relaxed with GGA-PBE.
Peak positions follow from Bragg's law for the DFT cell and can differ from measured ones.

Crystal structure
a = 3.152 Å, b = 3.152 Å, c = 23.232 Å
α = 90.00°, β = 90.00°, γ = 90.00°
Atoms (fractional coordinates):
Cu 0.000 0.000 0.073
Cu 0.000 0.000 0.376
Cu 0.000 0.000 0.624
Cu 0.000 0.000 0.927
Cu 0.500 0.500 0.124
Cu 0.500 0.500 0.427
Cu 0.500 0.500 0.573
Cu 0.500 0.500 0.876
Hg 0.000 0.000 0.198
Hg 0.000 0.000 0.500
Hg 0.000 0.000 0.802
Hg 0.500 0.500 0.000
Hg 0.500 0.500 0.302
Hg 0.500 0.500 0.698

Principal peaks in the range 2θ = 10–90°, sorted by position:
| d_spacing | two_theta | Rel. int. |
| --- | --- | --- |
| 2.919 | 30.62 | 59 |
| 2.285 | 39.43 | 100 |
| 2.229 | 40.47 | 66 |
| 1.608 | 57.28 | 22 |
| 1.576 | 58.57 | 22 |
| 1.297 | 72.91 | 32 |

***

Entry 11:
This entry pairs a crystal structure of NpGaAg with its calculated powder diffractogram. Radiation: a wavelength of 1.5418 Å. Structure: a crystal structure in Alexandria, relaxed with GGA-PBE.
Peak positions follow from Bragg's law for the DFT cell and can differ from measured ones.

Crystal structure
a = 2.965 Å, b = 2.965 Å, c = 13.251 Å
α = 90.00°, β = 90.00°, γ = 90.00°
Atoms (fractional coordinates):
Np 0.000 0.000 0.000
Np 0.500 0.500 0.500
Ga 0.000 0.000 0.669
Ga 0.500 0.500 0.169
Ag 0.000 0.000 0.310
Ag 0.500 0.500 0.810

Principal peaks in the range 2θ = 10–90°, sorted by position:
| d_spacing | two_theta | Rel. int. |
| --- | --- | --- |
| 6.625 | 13.36 | 19 |
| 2.893 | 30.90 | 23 |
| 2.462 | 36.50 | 100 |
| 2.097 | 43.15 | 33 |
| 1.521 | 60.93 | 20 |
| 1.270 | 74.75 | 25 |

***

Entry 12:
This entry pairs a crystal structure of BaBe2N with its calculated powder diffractogram. Radiation: a wavelength of 1.5418 Å. Structure: a crystal structure in Alexandria, relaxed with GGA-PBE.
Peak positions follow from Bragg's law for the DFT cell and can differ from measured ones.

Crystal structure
a = 5.650 Å, b = 5.650 Å, c = 7.970 Å
α = 90.00°, β = 90.00°, γ = 90.00°
Atoms (fractional coordinates):
Ba 0.000 0.250 0.375
Ba 0.000 0.750 0.625
Ba 0.500 0.250 0.125
Ba 0.500 0.750 0.875
Be 0.000 0.000 0.000
Be 0.000 0.500 0.000
Be 0.250 0.250 0.750
Be 0.250 0.750 0.250
Be 0.500 0.000 0.500
Be 0.500 0.500 0.500
Be 0.750 0.250 0.750
Be 0.750 0.750 0.250
N 0.000 0.250 0.875
N 0.000 0.750 0.125
N 0.500 0.250 0.625
N 0.500 0.750 0.375

Principal peaks in the range 2θ = 10–90°, sorted by position:
| d_spacing | two_theta | Rel. int. |
| --- | --- | --- |
| 4.610 | 19.26 | 60 |
| 2.823 | 31.70 | 100 |
| 2.407 | 37.36 | 48 |
| 1.832 | 49.78 | 16 |
| 1.630 | 56.46 | 36 |
| 1.411 | 66.22 | 13 |